Structure and computed powder diffraction line list of LiAlAsO4 (a crystal structure in the Materials Project, relaxed with GGA-PBE; CuKα).
Kinematic intensities with the Lorentz-polarization factor, no thermal factor.

Principal peaks in the range 5° ≤ 2θ ≤ 70°, sorted by position:
| d [Å] | two_theta | intensity |
| --- | --- | --- |
| 4.127 | 21.53 | 100 |
| 3.371 | 26.44 | 9 |
| 2.610 | 34.36 | 56 |
| 2.382 | 37.76 | 17 |
| 2.064 | 43.87 | 24 |
| 1.759 | 51.98 | 4 |
| 1.685 | 54.45 | 24 |
| 1.560 | 59.25 | 26 |
| 1.507 | 61.52 | 3 |
| 1.416 | 65.98 | 14 |
| 1.376 | 68.17 | 4 |

Structure:
Lattice parameters (Å, degrees): 4.7668 4.7668 8.2489 90.00 90.00 90.00
Space group I-4 (No. 82)
Unique sites:
Li1 0.0000 0.0000 0.0000
Al1 0.0000 0.5000 0.2500
As1 0.0000 0.0000 0.5000
O1 0.1926 0.2708 0.3794